This entry pairs a crystal structure of Sm3Si2Rh6 with its computed X-ray powder pattern. Radiation: Cu Ka. Structure: a structure optimized by DFT (PBE).
Intensities are scaled so that the largest is 100.

Most intense lines, 2θ = 10–90°, by intensity:
d 2.208, I 100; d 2.962, I 34; d 2.503, I 30; d 2.342, I 27; d 3.311, I 20; d 1.230, I 19; d 1.275, I 18; d 1.606, I 18

Cell and atoms:
Cell lengths 8.1114, 8.1114, 8.1114 Å; angles 109.47, 109.47, 109.47 degrees
Fractional coordinates of all 22 atoms:
Sm: 0.0000 0.2940 0.2940
Sm: 0.0000 0.7060 0.7060
Sm: 0.2940 0.0000 0.2940
Sm: 0.2940 0.2940 0.0000
Sm: 0.7060 0.0000 0.7060
Sm: 0.7060 0.7060 0.0000
Si: 0.0000 0.0000 0.5000
Si: 0.0000 0.5000 0.0000
Si: 0.5000 0.0000 0.0000
Si: 0.5000 0.5000 0.5000
Rh: 0.0000 0.3128 0.6872
Rh: 0.0000 0.6872 0.3128
Rh: 0.3128 0.0000 0.6872
Rh: 0.3128 0.3128 0.6257
Rh: 0.3128 0.6257 0.3128
Rh: 0.3128 0.6872 0.0000
Rh: 0.3743 0.6872 0.6872
Rh: 0.6257 0.3128 0.3128
Rh: 0.6872 0.0000 0.3128
Rh: 0.6872 0.3128 0.0000
Rh: 0.6872 0.3743 0.6872
Rh: 0.6872 0.6872 0.3743